No. 1
The following is a computed XRD peak list of Ti3H2O7. It was derived from a GGA-PBE-relaxed structure, using Cu Kα.
Peak positions follow from Bragg's law for the DFT cell and can differ from measured ones.

Atomic structure:
Lattice parameters (Å, degrees): 8.3166 8.3166 9.2968 101.16 101.16 26.29
Sites, in units of the cell vectors:
Ti (0.0000, 0.0000, 0.0000)
Ti (0.0414, 0.0414, 0.6929)
Ti (0.1013, 0.1013, 0.3899)
Ti (0.6465, 0.6465, 0.9616)
Ti (0.6964, 0.6964, 0.6626)
Ti (0.7529, 0.7529, 0.3442)
H (0.8269, 0.8269, 0.9653)
H (0.8525, 0.8525, 0.6412)
H (0.8736, 0.8736, 0.1438)
H (0.9179, 0.9179, 0.3886)
O (0.0080, 0.0080, 0.4937)
O (0.0410, 0.0410, 0.2082)
O (0.1136, 0.1136, 0.9270)
O (0.1671, 0.1671, 0.6362)
O (0.2218, 0.2218, 0.3548)
O (0.5267, 0.5267, 0.9986)
O (0.5787, 0.5787, 0.7224)
O (0.6352, 0.6352, 0.4322)
O (0.7056, 0.7056, 0.1423)
O (0.7394, 0.7394, 0.8595)
O (0.7952, 0.7952, 0.5786)
O (0.8614, 0.8614, 0.3177)
O (0.8828, 0.8828, 0.0391)
O (0.9527, 0.9527, 0.7852)

Principal peaks in the range 2θ from 10° to 80°, most intense first:
- 11.1 deg, d = 7.937 Å, intensity 100.0
- 24.2 deg, d = 3.679 Å, intensity 43.3
- 16.2 deg, d = 5.470 Å, intensity 24.2
- 29.4 deg, d = 3.037 Å, intensity 19.6
- 35.7 deg, d = 2.515 Å, intensity 18.8
- 48.1 deg, d = 1.891 Å, intensity 16.7
- 29.0 deg, d = 3.077 Å, intensity 16.6
- 43.5 deg, d = 2.082 Å, intensity 14.9

=====

No. 2
The following is a computed XRD peak list of TlPd2. It was derived from a GGA-PBE-relaxed structure, using Cu Kα.
Peak positions follow from Bragg's law for the DFT cell and can differ from measured ones.

Atomic structure:
Lattice parameters (Å, degrees): 5.8536 4.2671 8.6001 90.00 90.00 90.00
Sites, in units of the cell vectors:
Tl (0.1785, 0.2500, 0.1021)
Tl (0.3215, 0.7500, 0.6021)
Tl (0.6785, 0.2500, 0.3979)
Tl (0.8215, 0.7500, 0.8979)
Pd (0.0695, 0.2500, 0.7658)
Pd (0.1570, 0.2500, 0.4280)
Pd (0.3430, 0.7500, 0.9280)
Pd (0.4305, 0.7500, 0.2658)
Pd (0.5695, 0.2500, 0.7342)
Pd (0.6570, 0.2500, 0.0720)
Pd (0.8430, 0.7500, 0.5720)
Pd (0.9305, 0.7500, 0.2342)

Principal peaks in the range 2θ from 10° to 80°, most intense first:
- 37.8 deg, d = 2.380 Å, intensity 100.0
- 37.2 deg, d = 2.414 Å, intensity 87.2
- 44.2 deg, d = 2.048 Å, intensity 42.7
- 42.4 deg, d = 2.134 Å, intensity 40.0
- 38.7 deg, d = 2.324 Å, intensity 31.2
- 62.9 deg, d = 1.477 Å, intensity 29.8
- 25.7 deg, d = 3.465 Å, intensity 14.2
- 74.5 deg, d = 1.274 Å, intensity 13.7

=====

No. 3
The following is a computed XRD peak list of Tl4Sn5S12. It was derived from a GGA-PBE-relaxed structure, using Cu Kα.
Peak positions follow from Bragg's law for the DFT cell and can differ from measured ones.

Atomic structure:
Lattice parameters (Å, degrees): 7.5040 9.8748 17.3679 105.00 90.12 111.92
Sites, in units of the cell vectors:
Tl (0.0826, 0.3471, 0.3873)
Tl (0.1246, 0.0174, 0.8568)
Tl (0.1874, 0.7384, 0.2980)
Tl (0.3986, 0.0375, 0.1453)
Tl (0.6014, 0.9625, 0.8547)
Tl (0.8126, 0.2616, 0.7020)
Tl (0.8754, 0.9826, 0.1432)
Tl (0.9174, 0.6529, 0.6127)
Sn (0.1831, 0.0744, 0.5825)
Sn (0.1876, 0.6274, 0.9475)
Sn (0.3153, 0.3807, 0.0579)
Sn (0.3845, 0.5318, 0.7300)
Sn (0.4822, 0.1764, 0.4028)
Sn (0.5178, 0.8236, 0.5972)
Sn (0.6155, 0.4682, 0.2700)
Sn (0.6847, 0.6193, 0.9421)
Sn (0.8124, 0.3726, 0.0525)
Sn (0.8169, 0.9256, 0.4175)
S (0.0284, 0.8239, 0.4781)
S (0.0300, 0.8212, 0.9831)
S (0.1626, 0.5857, 0.0920)
S (0.1696, 0.0567, 0.3272)
S (0.1934, 0.6638, 0.8033)
S (0.2305, 0.2626, 0.7215)
S (0.2895, 0.3477, 0.2019)
S (0.3104, 0.9395, 0.6707)
S (0.3296, 0.4180, 0.9124)
S (0.3820, 0.5515, 0.5927)
S (0.4619, 0.1796, 0.0080)
S (0.4879, 0.7924, 0.4544)
S (0.5121, 0.2076, 0.5456)
S (0.5381, 0.8204, 0.9920)
S (0.6180, 0.4485, 0.4073)
S (0.6704, 0.5820, 0.0876)
S (0.6896, 0.0605, 0.3293)
S (0.7105, 0.6523, 0.7981)
S (0.7695, 0.7374, 0.2785)
S (0.8066, 0.3362, 0.1967)
S (0.8304, 0.9433, 0.6728)
S (0.8374, 0.4143, 0.9080)
S (0.9700, 0.1788, 0.0169)
S (0.9716, 0.1761, 0.5219)

Principal peaks in the range 2θ from 10° to 80°, most intense first:
- 21.2 deg, d = 4.198 Å, intensity 100.0
- 24.3 deg, d = 3.660 Å, intensity 99.6
- 30.9 deg, d = 2.893 Å, intensity 84.5
- 22.0 deg, d = 4.043 Å, intensity 69.5
- 29.0 deg, d = 3.078 Å, intensity 64.8
- 29.4 deg, d = 3.038 Å, intensity 52.8
- 25.8 deg, d = 3.447 Å, intensity 47.1
- 27.2 deg, d = 3.275 Å, intensity 44.6

=====

No. 4
The following is a computed XRD peak list of Mg4As6Rh7. It was derived from a GGA-PBE-relaxed structure, using Cu Kα.
Peak positions follow from Bragg's law for the DFT cell and can differ from measured ones.

Atomic structure:
Lattice parameters (Å, degrees): 7.0735 7.0735 7.0735 109.47 109.47 109.47
Sites, in units of the cell vectors:
Mg (0.0000, 0.0000, 0.5000)
Mg (0.0000, 0.5000, 0.0000)
Mg (0.5000, 0.0000, 0.0000)
Mg (0.5000, 0.5000, 0.5000)
As (0.0000, 0.3140, 0.3140)
As (0.0000, 0.6860, 0.6860)
As (0.3140, 0.0000, 0.3140)
As (0.3140, 0.3140, 0.0000)
As (0.6860, 0.0000, 0.6860)
As (0.6860, 0.6860, 0.0000)
Rh (0.0000, 0.0000, 0.0000)
Rh (0.2500, 0.5000, 0.7500)
Rh (0.2500, 0.7500, 0.5000)
Rh (0.5000, 0.2500, 0.7500)
Rh (0.5000, 0.7500, 0.2500)
Rh (0.7500, 0.2500, 0.5000)
Rh (0.7500, 0.5000, 0.2500)

Principal peaks in the range 2θ from 10° to 80°, most intense first:
- 38.2 deg, d = 2.358 Å, intensity 100.0
- 44.4 deg, d = 2.042 Å, intensity 70.3
- 21.8 deg, d = 4.084 Å, intensity 61.9
- 41.4 deg, d = 2.183 Å, intensity 45.2
- 64.5 deg, d = 1.444 Å, intensity 33.1
- 52.6 deg, d = 1.741 Å, intensity 32.1
- 77.5 deg, d = 1.231 Å, intensity 21.1
- 79.6 deg, d = 1.204 Å, intensity 20.0

=====

No. 5
The following is a computed XRD peak list of Pr5C2Cl9. It was derived from a GGA-PBE-relaxed structure, using Cu Kα.
Peak positions follow from Bragg's law for the DFT cell and can differ from measured ones.

Atomic structure:
Lattice parameters (Å, degrees): 8.6108 8.6853 12.1667 84.20 85.01 61.33
Sites, in units of the cell vectors:
Pr (0.1029, 0.2024, 0.0010)
Pr (0.1314, 0.7708, 0.2678)
Pr (0.2031, 0.1859, 0.4978)
Pr (0.2270, 0.4274, 0.7425)
Pr (0.3929, 0.9033, 0.7790)
Pr (0.6071, 0.0967, 0.2210)
Pr (0.7730, 0.5726, 0.2575)
Pr (0.7969, 0.8141, 0.5022)
Pr (0.8686, 0.2292, 0.7322)
Pr (0.8971, 0.7976, 0.9990)
C (0.1421, 0.1976, 0.8094)
C (0.1701, 0.1892, 0.6906)
C (0.8299, 0.8108, 0.3094)
C (0.8579, 0.8024, 0.1906)
Cl (0.0000, 0.0000, 0.5000)
Cl (0.0805, 0.8422, 0.7719)
Cl (0.1583, 0.3709, 0.2608)
Cl (0.1758, 0.5509, 0.5068)
Cl (0.2143, 0.8307, 0.0332)
Cl (0.2166, 0.4609, 0.9754)
Cl (0.4000, 0.9083, 0.2767)
Cl (0.4580, 0.8284, 0.5526)
Cl (0.4885, 0.4851, 0.2316)
Cl (0.5000, 0.0000, 0.0000)
Cl (0.5115, 0.5149, 0.7684)
Cl (0.5420, 0.1716, 0.4474)
Cl (0.6000, 0.0917, 0.7233)
Cl (0.7834, 0.5391, 0.0246)
Cl (0.7857, 0.1693, 0.9668)
Cl (0.8242, 0.4491, 0.4932)
Cl (0.8417, 0.6291, 0.7392)
Cl (0.9195, 0.1578, 0.2281)

Principal peaks in the range 2θ from 10° to 80°, most intense first:
- 29.5 deg, d = 3.023 Å, intensity 100.0
- 11.7 deg, d = 7.565 Å, intensity 36.1
- 33.7 deg, d = 2.662 Å, intensity 34.5
- 36.7 deg, d = 2.450 Å, intensity 31.7
- 22.6 deg, d = 3.939 Å, intensity 28.9
- 24.3 deg, d = 3.656 Å, intensity 27.8
- 24.1 deg, d = 3.698 Å, intensity 26.0
- 25.2 deg, d = 3.540 Å, intensity 24.9

=====

No. 6
The following is a computed XRD peak list of As16S17. It was derived from a GGA-PBE-relaxed structure, using Cu Kα.
Peak positions follow from Bragg's law for the DFT cell and can differ from measured ones.

Atomic structure:
Lattice parameters (Å, degrees): 7.7844 7.8245 19.9298 82.43 84.55 88.19
Sites, in units of the cell vectors:
As (0.0000, 0.0000, 0.0000)
As (0.0002, 0.0003, 0.4995)
As (0.0242, 0.0357, 0.6717)
As (0.0248, 0.0360, 0.1722)
As (0.0439, 0.7114, 0.6471)
As (0.0461, 0.7121, 0.1480)
As (0.1924, 0.4902, 0.3738)
As (0.2493, 0.5381, 0.8617)
As (0.3221, 0.9773, 0.5329)
As (0.3222, 0.9788, 0.0332)
As (0.4941, 0.7142, 0.7943)
As (0.5433, 0.7573, 0.2832)
As (0.5670, 0.4453, 0.2502)
As (0.5819, 0.4284, 0.7499)
As (0.6642, 0.4483, 0.4268)
As (0.6737, 0.4442, 0.9281)
S (0.2646, 0.7624, 0.3269)
S (0.2851, 0.1234, 0.6238)
S (0.2855, 0.1249, 0.1241)
S (0.2969, 0.3533, 0.2843)
S (0.2992, 0.3560, 0.7805)
S (0.3121, 0.7132, 0.5944)
S (0.3138, 0.7144, 0.0945)
S (0.3752, 0.4174, 0.4564)
S (0.3834, 0.4182, 0.9527)
S (0.6695, 0.7219, 0.8748)
S (0.6972, 0.7238, 0.3748)
S (0.7298, 0.3187, 0.3316)
S (0.7375, 0.3073, 0.8347)
S (0.8804, 0.1481, 0.5824)
S (0.8809, 0.1483, 0.0828)
S (0.9092, 0.7408, 0.5505)
S (0.9109, 0.7402, 0.0514)

Principal peaks in the range 2θ from 10° to 80°, most intense first:
- 13.6 deg, d = 6.513 Å, intensity 100.0
- 25.5 deg, d = 3.495 Å, intensity 70.1
- 15.4 deg, d = 5.740 Å, intensity 52.0
- 15.2 deg, d = 5.832 Å, intensity 52.0
- 13.9 deg, d = 6.377 Å, intensity 48.7
- 16.0 deg, d = 5.535 Å, intensity 45.0
- 28.0 deg, d = 3.189 Å, intensity 26.2
- 27.4 deg, d = 3.257 Å, intensity 25.5

=====

No. 7
The following is a computed XRD peak list of ZnAg2SnS4. It was derived from a GGA-PBE-relaxed structure, using Cu Kα.
Peak positions follow from Bragg's law for the DFT cell and can differ from measured ones.

Atomic structure:
Lattice parameters (Å, degrees): 7.2499 7.2499 7.2499 134.75 134.75 65.92
Sites, in units of the cell vectors:
Zn (0.0000, 0.0000, 0.0000)
Ag (0.2500, 0.7500, 0.5000)
Ag (0.7500, 0.2500, 0.5000)
Sn (0.5000, 0.5000, 0.0000)
S (0.1289, 0.6395, 0.0000)
S (0.3605, 0.3605, 0.4894)
S (0.6395, 0.1289, 0.0000)
S (0.8711, 0.8711, 0.5106)

Principal peaks in the range 2θ from 10° to 80°, most intense first:
- 26.9 deg, d = 3.309 Å, intensity 100.0
- 44.1 deg, d = 2.056 Å, intensity 39.6
- 54.1 deg, d = 1.694 Å, intensity 27.4
- 46.0 deg, d = 1.972 Å, intensity 17.5
- 50.6 deg, d = 1.803 Å, intensity 16.8
- 32.1 deg, d = 2.789 Å, intensity 13.3
- 70.8 deg, d = 1.331 Å, intensity 12.0
- 29.4 deg, d = 3.042 Å, intensity 8.5

=====

No. 8
The following is a computed XRD peak list of Ce2CdSb4. It was derived from a GGA-PBE-relaxed structure, using Cu Kα.
Peak positions follow from Bragg's law for the DFT cell and can differ from measured ones.

Atomic structure:
Lattice parameters (Å, degrees): 4.3923 4.3923 10.7641 90.00 90.00 90.00
Sites, in units of the cell vectors:
Ce (0.0000, 0.5000, 0.2315)
Ce (0.5000, 0.0000, 0.7685)
Cd (0.5000, 0.5000, 0.5000)
Sb (0.0000, 0.0000, 0.0000)
Sb (0.0000, 0.5000, 0.6785)
Sb (0.5000, 0.0000, 0.3215)
Sb (0.5000, 0.5000, 0.0000)

Principal peaks in the range 2θ from 10° to 80°, most intense first:
- 33.3 deg, d = 2.690 Å, intensity 100.0
- 41.1 deg, d = 2.196 Å, intensity 31.5
- 69.9 deg, d = 1.345 Å, intensity 25.4
- 26.2 deg, d = 3.403 Å, intensity 21.3
- 59.5 deg, d = 1.553 Å, intensity 13.7
- 39.3 deg, d = 2.295 Å, intensity 13.4
- 64.2 deg, d = 1.451 Å, intensity 11.6
- 53.9 deg, d = 1.701 Å, intensity 11.1